For AlPb, a GGA-PBE-relaxed structure gives the simulated PXRD pattern in this record (Cu Kα).
Lines closer than 0.1° are merged.

Crystal structure
Cell lengths 3.4152, 3.4152, 10.0228 Å; angles 90.00, 90.00, 120.00 degrees
Space group P-3m1 (No. 164)
One atom of each set of equivalent atoms:
Al  0.3333  0.6667  0.0964
Pb  0.3333  0.6667  0.6552

Top 10 peaks for 2θ = 5–70°, sorted by position:
d_spacing  I_rel  h k l
10.023  861  0 0 1
3.341  350  0 0 3
2.958  279  1 0 0
2.837  738  1 0 1
2.547  1000  0 1 2
2.215  181  0 1 3
1.912  226  1 0 4
1.708  229  1 1 0
1.659  254  0 1 5
1.521  221  1 1 3


For Pm6Cd3Ru, a GGA-PBE-relaxed structure gives the simulated PXRD pattern in this record (Cu Kα).
Lines closer than 0.1° are merged.

Crystal structure
Cell lengths 9.2360, 5.4314, 11.7053 Å; angles 90.00, 108.37, 90.00 degrees
Space group P2_1/m (No. 11)
One atom of each set of equivalent atoms:
Pm  0.0361  0.2500  0.4161
Pm  0.1851  0.7500  0.1615
Pm  0.2768  0.2500  0.9995
Pm  0.3509  0.7500  0.8316
Pm  0.3760  0.2500  0.3482
Pm  0.3985  0.2500  0.6507
Cd  0.0087  0.7500  0.8676
Cd  0.0831  0.2500  0.7167
Cd  0.2694  0.7500  0.4709
Ru  0.4612  0.7500  0.0922

Top 10 peaks for 2θ = 5–70°, sorted by position:
d_spacing  I_rel  h k l
2.886  155  2 1 -3
2.775  160  2 0 -4
2.716  405  0 2 0
2.678  1000  1 1 3
2.630  97  3 1 -2
2.471  147  2 1 -4
1.941  136  2 2 -4
1.850  93  4 0 2
1.561  191  1 3 3
1.529  100  4 2 2


For Ce4PmPt4, a GGA-PBE-relaxed structure gives the simulated PXRD pattern in this record (Cu Kα).
Lines closer than 0.1° are merged.

Crystal structure
Cell lengths 9.2962, 9.2962, 5.7767 Å; angles 90.00, 90.00, 90.00 degrees
Space group I4/m (No. 87)
One atom of each set of equivalent atoms:
Ce  0.1028  0.6934  0.0000
Pm  0.0000  0.0000  0.5000
Pt  0.1032  0.7003  0.5000

Top 10 peaks for 2θ = 5–70°, sorted by position:
d_spacing  I_rel  h k l
6.573  119  1 1 0
4.907  141  1 0 1
4.648  54  2 0 0
2.940  1000  3 1 0
2.888  475  0 0 2
2.079  379  2 4 0
2.060  735  3 1 2
1.687  396  2 4 2
1.470  126  6 2 0
1.444  59  0 0 4